For Li8Tl2Ga, DFT lattice parameters and positions (GGA-PBE) gives the computed XRD peak list in this record (CuKα).
Lines closer than 0.1° are merged.

Main lines, by angle (2θ from 10° to 90°):
2θ/deg	d (Å)	I_rel
11.89	7.443	100
20.55	4.322	64
23.91	3.721	26
24.98	3.565	90
26.49	3.365	41
29.46	3.032	33
37.63	2.390	35
37.76	2.382	43
39.35	2.290	20
44.80	2.023	28

Crystal structure
```
Li8Tl2Ga
1.0
7.506 -2.290 0.000
7.506 2.290 0.000
-0.763 0.000 5.823
Li Tl Ga
8 2 1
direct
0.032 0.032 0.254
0.146 0.146 0.670
0.330 0.330 0.592
0.407 0.407 0.061
0.593 0.593 0.939
0.670 0.670 0.408
0.854 0.854 0.330
0.968 0.968 0.746
0.214 0.214 0.155
0.786 0.786 0.845
0.500 0.500 0.500
```